Record 1
Simulated X-ray powder pattern of AlAgH6Ir for Cu Kα (weighted mean of Kα1 and Kα2), from DFT lattice parameters and positions (GGA-PBE).

Principal peaks in the range 5° ≤ 2θ ≤ 70°, in order of rising 2θ:
2theta	d_spacing	I (rel.)
23.89	3.725	87.7
27.65	3.226	11.7
39.50	2.281	100.0
46.69	1.946	45.5
48.90	1.863	4.2
57.10	1.613	17.4
62.77	1.480	18.8
64.59	1.443	5.2

Cell and atoms:
Lattice parameters (Å, degrees): 4.5626 4.5626 4.5626 60.00 60.00 60.00
Positions (direct):
Al (0.0000, 0.0000, 0.0000)
Ag (0.7500, 0.7500, 0.7500)
H (0.0449, 0.0449, 0.4551)
H (0.0449, 0.4551, 0.0449)
H (0.0449, 0.4551, 0.4551)
H (0.4551, 0.0449, 0.0449)
H (0.4551, 0.0449, 0.4551)
H (0.4551, 0.4551, 0.0449)
Ir (0.5000, 0.5000, 0.5000)

Record 2
Simulated X-ray powder pattern of InNi2Se2S for Cu Kα (weighted mean of Kα1 and Kα2), from DFT lattice parameters and positions (GGA-PBE).

Principal peaks in the range 5° ≤ 2θ ≤ 70°, in order of rising 2θ:
2theta	d_spacing	I (rel.)
27.79	3.210	53.9
28.10	3.176	100.0
28.20	3.164	59.6
46.13	1.968	23.7
46.39	1.957	21.6
46.53	1.952	42.0
47.07	1.931	47.1
54.65	1.679	13.0
55.16	1.665	24.8
55.95	1.643	15.3

Cell and atoms:
Lattice parameters (Å, degrees): 6.7741 6.7741 6.6596 98.94 98.94 120.17
Positions (direct):
In (0.0964, 0.9036, 0.5000)
In (0.9036, 0.0964, 0.0000)
Ni (0.2681, 0.7623, 0.9640)
Ni (0.3858, 0.5687, 0.4851)
Ni (0.5687, 0.3858, 0.9851)
Ni (0.7623, 0.2681, 0.4640)
Se (0.3298, 0.4982, 0.1195)
Se (0.4982, 0.3298, 0.6195)
Se (0.7396, 0.9462, 0.5772)
Se (0.9462, 0.7396, 0.0772)
S (0.1203, 0.5757, 0.6250)
S (0.5757, 0.1203, 0.1250)